(1)
This entry pairs a crystal structure of Ta4NiTe4 with its computed PXRD pattern. Radiation: Cu Kα (weighted mean of Kα1 and Kα2). Structure: a cell relaxed with PBE.
Neutral-atom scattering factors, no anomalous dispersion.

Most intense lines, 5 to 70 degrees two-theta, most intense first:
2theta, I_rel
9.48, 100
35.48, 22
37.82, 15
41.14, 15
32.67, 13
34.79, 10
42.33, 9
16.45, 9
36.79, 8
38.70, 8
19.02, 6
44.48, 6

Cell and atoms:
abc: 10.781 18.658 4.757
angles: 90.00 90.00 90.00
Space group Pbam (No. 55)
One atom of each set of equivalent atoms:
Ta 0.066 0.119 0.000
Ta 0.101 0.890 0.500
Ta 0.193 0.058 0.500
Ta 0.208 0.963 0.000
Ni 0.000 0.000 0.250
Te 0.110 0.205 0.500
Te 0.144 0.435 0.500
Te 0.169 0.600 0.000
Te 0.171 0.811 0.000

(2)
This entry pairs a crystal structure of Al2CuO4 with its computed PXRD pattern. Radiation: Cu Kα (weighted mean of Kα1 and Kα2). Structure: a cell relaxed with PBE.
Neutral-atom scattering factors, no anomalous dispersion.

Most intense lines, 5 to 70 degrees two-theta, most intense first:
2theta, I_rel
36.59, 100
31.11, 51
58.92, 46
36.45, 42
64.87, 34
64.52, 33
30.96, 20
44.46, 19
55.31, 15
21.81, 11
18.89, 10
54.97, 9

Cell and atoms:
abc: 5.7497 5.7497 14.1864
angles: 90.00 90.00 120.00
Space group P3m1 (No. 156)
One atom of each set of equivalent atoms:
Al 0.0000 0.0000 0.0000
Al 0.0000 0.0000 0.3781
Al 0.0048 0.5024 0.4989
Al 0.1655 0.3310 0.8334
Al 0.3352 0.1676 0.1652
Al 0.6667 0.3333 0.7083
Cu 0.0000 0.0000 0.6255
Cu 0.3333 0.6667 0.0416
Cu 0.3333 0.6667 0.2889
Cu 0.3333 0.6667 0.6635
Cu 0.6667 0.3333 0.3284
Cu 0.6667 0.3333 0.9587
O 0.0000 0.0000 0.2487
O 0.0000 0.0000 0.7643
O 0.0044 0.5022 0.7562
O 0.1453 0.2906 0.0898
O 0.1808 0.3616 0.5722
O 0.2930 0.1465 0.9124
O 0.3333 0.6667 0.4286
O 0.3333 0.6667 0.8948
O 0.3442 0.1721 0.4254
O 0.5136 0.0273 0.2380
O 0.6667 0.3333 0.0966
O 0.6667 0.3333 0.5755

(3)
This entry pairs a crystal structure of Sm3Bi5O12 with its computed PXRD pattern. Radiation: Cu Kα (weighted mean of Kα1 and Kα2). Structure: a cell relaxed with PBE.
Neutral-atom scattering factors, no anomalous dispersion.

Most intense lines, 5 to 70 degrees two-theta, most intense first:
2theta, I_rel
27.77, 100
32.17, 38
46.11, 26
54.67, 20
54.74, 14
46.19, 13
19.53, 9
41.34, 7
34.18, 6
67.30, 5
50.54, 5
56.01, 4

Cell and atoms:
abc: 9.627 9.632 9.644
angles: 109.48 109.42 109.40
Space group P1 (No. 1)
One atom of each set of equivalent atoms:
Sm 0.000 0.000 0.000
Sm 0.001 0.500 0.499
Sm 0.035 0.783 0.251
Sm 0.220 0.249 0.469
Sm 0.501 0.997 0.500
Sm 0.503 0.500 0.001
Bi 0.250 0.969 0.717
Bi 0.251 0.470 0.220
Bi 0.280 0.750 0.029
Bi 0.471 0.718 0.750
Bi 0.529 0.278 0.250
Bi 0.720 0.250 0.971
Bi 0.750 0.527 0.782
Bi 0.753 0.029 0.281
Bi 0.782 0.747 0.530
Bi 0.973 0.220 0.749
O 0.020 0.277 0.546
O 0.035 0.766 0.994
O 0.050 0.014 0.781
O 0.221 0.738 0.769
O 0.232 0.467 0.952
O 0.237 0.506 0.465
O 0.260 0.730 0.275
O 0.269 0.223 0.240
O 0.274 0.040 0.504
O 0.453 0.230 0.968
O 0.467 0.449 0.730
O 0.487 0.031 0.263
O 0.515 0.964 0.736
O 0.536 0.548 0.272
O 0.551 0.771 0.034
O 0.725 0.952 0.487
O 0.730 0.778 0.765
O 0.737 0.268 0.720
O 0.765 0.484 0.533
O 0.773 0.535 0.048
O 0.779 0.262 0.229
O 0.964 0.990 0.231
O 0.967 0.236 0.014
O 0.989 0.723 0.452